This entry pairs a crystal structure of SnAsH with its simulated powder diffraction line list. Radiation: CuKα. Structure: a GGA-PBE-relaxed structure.
No peak broadening, texture or thermal motion is included.

Largest 10 diffraction maxima, by angle, 15 to 90 degrees two-theta:
hkl 0 0 3, 30.19 deg, I = 69; hkl 1 -1 0, 31.17 deg, I = 100; hkl 1 1 -1, 32.07 deg, I = 86; hkl 1 1 0, 32.77 deg, I = 98; hkl 1 -1 1, 32.86 deg, I = 27; hkl 0 1 -3, 34.80 deg, I = 41; hkl -1 1 3, 43.83 deg, I = 25; hkl 1 -1 3, 44.07 deg, I = 25; hkl 0 2 -1, 45.19 deg, I = 33; hkl 2 0 -1, 45.47 deg, I = 33

Structure:
```
data_SnAsH
_chemical_formula_sum 'Sn2 As2 H2'
_symmetry_space_group_name_H-M 'P -1'
_symmetry_Int_Tables_number 2
_symmetry_space_group_name_Hall '-P 1'
_cell_length_a 3.997
_cell_length_b 4.023
_cell_length_c 9.108
_cell_angle_alpha 98.75
_cell_angle_beta 99.12
_cell_angle_gamma 91.37
loop_
_atom_site_label
_atom_site_type_symbol
_atom_site_fract_x
_atom_site_fract_y
_atom_site_fract_z
Sn1 Sn 0.203 0.206 0.375
As1 As 0.320 0.316 0.687
H1 H 0.053 0.060 0.984
```

=====

This entry pairs a crystal structure of Tb6Sm4Y19 with its simulated powder diffraction line list. Radiation: CuKα. Structure: a GGA-PBE-relaxed structure.
No peak broadening, texture or thermal motion is included.

Largest 10 diffraction maxima, by angle, 15 to 90 degrees two-theta:
hkl 3 0 1, 22.49 deg, I = 26; hkl 3 2 1, 26.68 deg, I = 53; hkl 4 0 0, 28.56 deg, I = 43; hkl 4 1 1, 30.33 deg, I = 100; hkl 4 2 2, 35.17 deg, I = 37; hkl 4 3 1, 36.65 deg, I = 80; hkl 5 0 3, 42.15 deg, I = 28; hkl 7 2 1, 53.89 deg, I = 23; hkl 7 4 1, 60.13 deg, I = 27; hkl 8 2 0, 61.13 deg, I = 27

Structure:
```
data_Tb6Sm4Y19
_chemical_formula_sum 'Tb12 Sm8 Y38'
_symmetry_space_group_name_H-M 'I 2 3'
_symmetry_Int_Tables_number 197
_symmetry_space_group_name_Hall 'I 2 2 3'
_cell_length_a 12.501
_cell_length_b 12.501
_cell_length_c 12.501
_cell_angle_alpha 90.00
_cell_angle_beta 90.00
_cell_angle_gamma 90.00
loop_
_atom_site_label
_atom_site_type_symbol
_atom_site_fract_x
_atom_site_fract_y
_atom_site_fract_z
Tb1 Tb 0.000 0.123 0.500
Sm1 Sm 0.180 0.180 0.180
Y1 Y 0.000 0.000 0.000
Y2 Y 0.000 0.000 0.260
Y3 Y 0.061 0.280 0.735
```

=====

This entry pairs a crystal structure of Ti7GaNi4 with its simulated powder diffraction line list. Radiation: CuKα. Structure: a GGA-PBE-relaxed structure.
No peak broadening, texture or thermal motion is included.

Largest 10 diffraction maxima, by angle, 15 to 90 degrees two-theta:
hkl 4 0 0, 36.15 deg, I = 36; hkl 4 0 -3, 37.25 deg, I = 41; hkl 0 2 0, 38.08 deg, I = 100; hkl 1 1 2, 39.02 deg, I = 30; hkl 3 1 -3, 40.14 deg, I = 30; hkl 0 0 3, 42.39 deg, I = 35; hkl 1 1 -3, 42.62 deg, I = 24; hkl 5 1 -1, 43.86 deg, I = 62; hkl 4 2 -3, 54.33 deg, I = 25; hkl 0 2 3, 58.28 deg, I = 23

Structure:
```
data_Ti7GaNi4
_chemical_formula_sum 'Ti14 Ga2 Ni8'
_symmetry_space_group_name_H-M 'C 1 2/m 1'
_symmetry_Int_Tables_number 12
_symmetry_space_group_name_Hall '-C 2y'
_cell_length_a 11.967
_cell_length_b 4.727
_cell_length_c 7.703
_cell_angle_alpha 90.00
_cell_angle_beta 123.84
_cell_angle_gamma 90.00
loop_
_atom_site_label
_atom_site_type_symbol
_atom_site_fract_x
_atom_site_fract_y
_atom_site_fract_z
Ti1 Ti 0.000 0.000 0.000
Ti2 Ti 0.065 0.500 0.404
Ti3 Ti 0.221 0.500 0.907
Ti4 Ti 0.230 0.000 0.692
Ga1 Ga 0.000 0.500 0.000
Ni1 Ni 0.037 0.000 0.701
Ni2 Ni 0.196 0.000 0.355
```

=====

This entry pairs a crystal structure of Ho3InRh with its simulated powder diffraction line list. Radiation: CuKα. Structure: a GGA-PBE-relaxed structure.
No peak broadening, texture or thermal motion is included.

Largest 10 diffraction maxima, by angle, 15 to 90 degrees two-theta:
hkl 2 2 1, 24.08 deg, I = 22; hkl 4 0 0, 24.19 deg, I = 20; hkl 3 3 0, 31.11 deg, I = 75; hkl 4 0 2, 34.93 deg, I = 100; hkl 1 3 2, 36.12 deg, I = 87; hkl 5 3 0, 39.79 deg, I = 22; hkl 3 3 2, 40.19 deg, I = 42; hkl 7 3 2, 57.02 deg, I = 28; hkl 3 3 4, 60.86 deg, I = 22; hkl 4 6 2, 63.76 deg, I = 34

Structure:
```
data_Ho3InRh
_chemical_formula_sum 'Ho24 In8 Rh8'
_symmetry_space_group_name_H-M 'C m c m'
_symmetry_Int_Tables_number 63
_symmetry_space_group_name_Hall '-C 2c 2'
_cell_length_a 14.716
_cell_length_b 10.644
_cell_length_c 7.177
_cell_angle_alpha 90.00
_cell_angle_beta 90.00
_cell_angle_gamma 90.00
loop_
_atom_site_label
_atom_site_type_symbol
_atom_site_fract_x
_atom_site_fract_y
_atom_site_fract_z
Ho1 Ho 0.131 0.000 0.000
Ho2 Ho 0.143 0.333 0.007
In1 In 0.000 0.181 0.750
In2 In 0.000 0.496 0.750
Rh1 Rh 0.220 0.149 0.250
```

=====

This entry pairs a crystal structure of LiHgIr2 with its simulated powder diffraction line list. Radiation: CuKα. Structure: a GGA-PBE-relaxed structure.
No peak broadening, texture or thermal motion is included.

Largest 10 diffraction maxima, by angle, 15 to 90 degrees two-theta:
hkl 0 0 2, 20.22 deg, I = 12; hkl 1 0 1, 25.63 deg, I = 34; hkl 1 0 3, 38.89 deg, I = 12; hkl 1 1 2, 39.44 deg, I = 100; hkl 0 0 4, 41.11 deg, I = 22; hkl 2 0 0, 48.09 deg, I = 29; hkl 2 0 4, 65.08 deg, I = 23; hkl 1 1 6, 73.78 deg, I = 16; hkl 3 1 2, 83.79 deg, I = 24; hkl 2 2 4, 84.88 deg, I = 12

Structure:
```
data_LiHgIr2
_chemical_formula_sum 'Li2 Hg2 Ir4'
_symmetry_space_group_name_H-M 'I 4/m m m'
_symmetry_Int_Tables_number 139
_symmetry_space_group_name_Hall '-I 4 2'
_cell_length_a 3.784
_cell_length_b 3.784
_cell_length_c 8.783
_cell_angle_alpha 90.00
_cell_angle_beta 90.00
_cell_angle_gamma 90.00
loop_
_atom_site_label
_atom_site_type_symbol
_atom_site_fract_x
_atom_site_fract_y
_atom_site_fract_z
Li1 Li 0.000 0.000 0.000
Hg1 Hg 0.000 0.000 0.500
Ir1 Ir 0.000 0.500 0.250
```

=====

This entry pairs a crystal structure of UTl3Ni2S6 with its simulated powder diffraction line list. Radiation: CuKα. Structure: a GGA-PBE-relaxed structure.
No peak broadening, texture or thermal motion is included.

Largest 10 diffraction maxima, by angle, 15 to 90 degrees two-theta:
hkl 0 0 2, 21.97 deg, I = 53; hkl 2 0 0, 30.45 deg, I = 60; hkl 1 3 1, 33.08 deg, I = 100; hkl 1 3 -3, 42.15 deg, I = 28; hkl 2 0 2, 42.25 deg, I = 14; hkl 1 3 3, 48.10 deg, I = 18; hkl 0 6 0, 52.37 deg, I = 28; hkl 0 6 2, 57.43 deg, I = 17; hkl 2 0 4, 61.78 deg, I = 14; hkl 4 0 0, 63.36 deg, I = 16

Structure:
```
data_UTl3Ni2S6
_chemical_formula_sum 'U2 Tl6 Ni4 S12'
_symmetry_space_group_name_H-M 'C 1 2/m 1'
_symmetry_Int_Tables_number 12
_symmetry_space_group_name_Hall '-C 2y'
_cell_length_a 6.052
_cell_length_b 10.480
_cell_length_c 8.344
_cell_angle_alpha 90.00
_cell_angle_beta 104.19
_cell_angle_gamma 90.00
loop_
_atom_site_label
_atom_site_type_symbol
_atom_site_fract_x
_atom_site_fract_y
_atom_site_fract_z
U1 U 0.000 0.000 0.000
Tl1 Tl 0.000 0.165 0.500
Tl2 Tl 0.000 0.500 0.500
Ni1 Ni 0.000 0.334 0.000
S1 S 0.194 0.500 0.170
S2 S 0.238 0.181 0.171
```